[1]
Theoretical powder diffractogram of Rb3Sr for Cu Kα, from a structure optimized by DFT (PBE).
No peak broadening, texture or thermal motion is included.

Top 10 peaks for 10 to 80 degrees two-theta, in order of falling intensity:
| d/Å | I/Imax |
| --- | --- |
| 3.847 | 100 |
| 2.221 | 45 |
| 1.454 | 23 |
| 2.720 | 20 |
| 1.720 | 20 |
| 1.923 | 14 |
| 1.282 | 11 |
| 1.216 | 6 |
| 1.570 | 5 |
| 1.360 | 2 |

Crystal structure
Cell lengths 10.881, 10.881, 10.881 Å; angles 90.00, 90.00, 90.00 degrees
Fractional coordinates of all 16 atoms:
Rb 0.000 0.000 0.000
Rb 0.000 0.500 0.500
Rb 0.250 0.250 0.250
Rb 0.250 0.250 0.750
Rb 0.250 0.750 0.250
Rb 0.250 0.750 0.750
Rb 0.500 0.000 0.500
Rb 0.500 0.500 0.000
Rb 0.750 0.250 0.250
Rb 0.750 0.250 0.750
Rb 0.750 0.750 0.250
Rb 0.750 0.750 0.750
Sr 0.000 0.000 0.500
Sr 0.000 0.500 0.000
Sr 0.500 0.000 0.000
Sr 0.500 0.500 0.500

***

[2]
Theoretical powder diffractogram of V5Ge3 for Cu Kα, from a structure optimized by DFT (PBE).
No peak broadening, texture or thermal motion is included.

Top 10 peaks for 10 to 80 degrees two-theta, in order of falling intensity:
| d/Å | I/Imax |
| --- | --- |
| 2.095 | 100 |
| 2.141 | 60 |
| 2.164 | 59 |
| 1.972 | 31 |
| 2.330 | 27 |
| 1.670 | 23 |
| 1.327 | 21 |
| 2.427 | 19 |
| 1.653 | 16 |
| 3.211 | 12 |

Crystal structure
Cell lengths 7.193, 7.193, 7.193 Å; angles 96.54, 96.54, 140.57 degrees
Fractional coordinates of all 16 atoms:
V 0.075 0.771 0.846
V 0.229 0.075 0.303
V 0.250 0.750 0.500
V 0.271 0.575 0.846
V 0.425 0.271 0.697
V 0.575 0.729 0.303
V 0.729 0.425 0.154
V 0.750 0.250 0.500
V 0.771 0.925 0.697
V 0.925 0.229 0.154
Ge 0.166 0.334 0.500
Ge 0.250 0.250 0.000
Ge 0.334 0.834 0.167
Ge 0.666 0.166 0.833
Ge 0.750 0.750 0.000
Ge 0.834 0.666 0.500

***

[3]
Theoretical powder diffractogram of Ce2Te4O11 for Cu Kα, from a structure optimized by DFT (PBE).
No peak broadening, texture or thermal motion is included.

Top 10 peaks for 10 to 80 degrees two-theta, in order of falling intensity:
| d/Å | I/Imax |
| --- | --- |
| 3.425 | 100 |
| 3.080 | 67 |
| 3.097 | 33 |
| 2.017 | 22 |
| 2.717 | 21 |
| 2.658 | 19 |
| 1.900 | 18 |
| 1.912 | 18 |
| 2.239 | 15 |
| 1.725 | 14 |

Crystal structure
Cell lengths 6.949, 6.949, 16.540 Å; angles 104.09, 104.09, 44.98 degrees
Fractional coordinates of all 34 atoms:
Ce 0.128 0.635 0.962
Ce 0.365 0.872 0.538
Ce 0.635 0.128 0.462
Ce 0.872 0.365 0.038
Te 0.090 0.650 0.628
Te 0.108 0.652 0.298
Te 0.348 0.892 0.202
Te 0.350 0.910 0.872
Te 0.650 0.090 0.128
Te 0.652 0.108 0.798
Te 0.892 0.348 0.702
Te 0.910 0.350 0.372
O 0.064 0.883 0.399
O 0.117 0.936 0.101
O 0.164 0.248 0.943
O 0.182 0.317 0.629
O 0.248 0.164 0.443
O 0.298 0.410 0.830
O 0.308 0.546 0.546
O 0.317 0.182 0.129
O 0.357 0.643 0.250
O 0.410 0.298 0.330
O 0.454 0.692 0.954
O 0.546 0.308 0.046
O 0.590 0.702 0.670
O 0.643 0.357 0.750
O 0.683 0.818 0.871
O 0.692 0.454 0.454
O 0.702 0.590 0.170
O 0.752 0.836 0.557
O 0.818 0.683 0.371
O 0.836 0.752 0.057
O 0.883 0.064 0.899
O 0.936 0.117 0.601